Computed X-ray diffraction stick pattern of LaAgO3 for a wavelength of 1.5418 Å, from a cell relaxed with PBE.
Lines closer than 0.1° are merged.

The 10 most intense peaks (10 to 90 degrees two-theta), most intense first:
two_theta, Rel. int., index
30.18, 100, 1 1 0
30.87, 100, 1 0 4
43.72, 50, 0 2 4
54.04, 44, 2 1 4
53.61, 28, 3 0 0
55.33, 17, 0 1 8
71.57, 16, 1 3 4
72.68, 15, 1 2 8
62.76, 14, 2 2 0
87.42, 13, 3 2 4

Crystal structure
```
data_LaAgO3
_chemical_formula_sum 'La6 Ag6 O18'
_symmetry_space_group_name_H-M 'R 3 c'
_symmetry_Int_Tables_number 161
_symmetry_space_group_name_Hall 'R 3 -2"c'
_cell_length_a 5.9224
_cell_length_b 5.9224
_cell_length_c 14.0401
_cell_angle_alpha 90.00
_cell_angle_beta 90.00
_cell_angle_gamma 120.00
loop_
_atom_site_label
_atom_site_fract_x
_atom_site_fract_y
_atom_site_fract_z
La1 0.0000 0.0000 0.0000
Ag1 0.0000 0.0000 0.2340
O1 0.0731 0.3490 0.3093
```



Computed X-ray diffraction stick pattern of CeGa9Rh2 for a wavelength of 1.5418 Å, from a cell relaxed with PBE.
Lines closer than 0.1° are merged.

The 10 most intense peaks (10 to 90 degrees two-theta), most intense first:
two_theta, Rel. int., index
36.01, 100, 3 1 2
44.99, 68, 5 0 1
38.53, 67, 4 2 0
45.57, 53, 4 2 2
36.46, 52, 1 0 3
33.08, 48, 3 2 1
68.07, 29, 5 5 2
40.48, 28, 2 1 3
54.25, 20, 2 2 4
41.96, 20, 4 0 2

Crystal structure
```
data_CeGa9Rh2
_chemical_formula_sum 'Ce4 Ga36 Rh8'
_symmetry_space_group_name_H-M 'I 41/a m d'
_symmetry_Int_Tables_number 141
_cell_length_a 10.4484
_cell_length_b 10.4484
_cell_length_c 7.6068
_cell_angle_alpha 90.00
_cell_angle_beta 90.00
_cell_angle_gamma 90.00
loop_
_symmetry_equiv_pos_as_xyz
'x,y,z'
'-x,-y,-z'
'-y+1/4,x+3/4,z+1/4'
'y+1/4,-x+3/4,-z+1/4'
'-x+1/2,-y,z+1/2'
'x+1/2,y,-z+1/2'
'y+1/4,-x+1/4,z+3/4'
'-y+1/4,x+1/4,-z+3/4'
'x,-y,-z'
'-x,y,z'
'-y+1/4,-x+1/4,-z+3/4'
'y+1/4,x+1/4,z+3/4'
'-x+1/2,y,-z+1/2'
'x+1/2,-y,z+1/2'
'y+1/4,x+3/4,-z+1/4'
'-y+1/4,-x+3/4,z+1/4'
'x+1/2,y+1/2,z+1/2'
'-x+1/2,-y+1/2,-z+1/2'
'-y+3/4,x+1/4,z+3/4'
'y+3/4,-x+1/4,-z+3/4'
'-x,-y+1/2,z'
'x,y+1/2,-z'
'y+3/4,-x+3/4,z+1/4'
'-y+3/4,x+3/4,-z+1/4'
'x+1/2,-y+1/2,-z+1/2'
'-x+1/2,y+1/2,z+1/2'
'-y+3/4,-x+3/4,-z+1/4'
'y+3/4,x+3/4,z+1/4'
'-x,y+1/2,-z'
'x,-y+1/2,z'
'y+3/4,x+1/4,-z+3/4'
'-y+3/4,-x+1/4,z+3/4'
loop_
_atom_site_label
_atom_site_fract_x
_atom_site_fract_y
_atom_site_fract_z
Ce1 0.0000 0.2500 0.3750
Ga1 0.0000 0.2500 0.8750
Ga2 0.1206 0.0443 0.6848
Rh1 0.0000 0.0000 0.0000
```



Computed X-ray diffraction stick pattern of Pr2ScBr2N2 for a wavelength of 1.5418 Å, from a cell relaxed with PBE.
Lines closer than 0.1° are merged.

The 10 most intense peaks (10 to 90 degrees two-theta), most intense first:
two_theta, Rel. int., index
33.14, 100, 1 0 5
29.51, 97, 1 1 0
54.70, 47, 2 1 5
42.23, 45, 2 0 0
10.15, 44, 0 0 2
41.97, 41, 1 0 7
61.06, 27, 2 1 7
21.38, 26, 1 0 1
36.13, 26, 1 1 4
69.44, 17, 3 1 0

Crystal structure
```
data_Pr2ScBr2N2
_chemical_formula_sum 'Pr4 Sc2 Br4 N4'
_symmetry_space_group_name_H-M 'I 4/m m m'
_symmetry_Int_Tables_number 139
_symmetry_space_group_name_Hall '-I 4 2'
_cell_length_a 4.2802
_cell_length_b 4.2802
_cell_length_c 17.4318
_cell_angle_alpha 90.00
_cell_angle_beta 90.00
_cell_angle_gamma 90.00
loop_
_atom_site_label
_atom_site_fract_x
_atom_site_fract_y
_atom_site_fract_z
Pr1 0.0000 0.0000 0.0863
Sc1 0.0000 0.0000 0.5000
Br1 0.0000 0.0000 0.3325
N1 0.0000 0.5000 0.0000
```



Computed X-ray diffraction stick pattern of Ga4Cu4Au3 for a wavelength of 1.5418 Å, from a cell relaxed with PBE.
Lines closer than 0.1° are merged.

The 10 most intense peaks (10 to 90 degrees two-theta), most intense first:
two_theta, Rel. int., index
41.66, 100, 0 2 -1
41.87, 29, 1 1 -4
43.71, 29, 0 1 5
43.99, 28, 0 1 -6
41.51, 27, 1 1 2
75.85, 20, 2 2 -2
23.03, 20, 0 1 -2
22.90, 19, 0 1 1
35.80, 19, 1 1 -1
33.82, 18, 1 0 2

Crystal structure
```
data_Ga4Cu4Au3
_chemical_formula_sum 'Ga4 Cu4 Au3'
_symmetry_space_group_name_H-M 'P 1'
_symmetry_Int_Tables_number 1
_symmetry_space_group_name_Hall 'P 1'
_cell_length_a 3.0754
_cell_length_b 4.3362
_cell_length_c 13.1586
_cell_angle_alpha 99.07
_cell_angle_beta 96.33
_cell_angle_gamma 90.04
loop_
_atom_site_label
_atom_site_fract_x
_atom_site_fract_y
_atom_site_fract_z
Ga1 0.0000 0.0000 0.0000
Ga2 0.1644 0.1750 0.3440
Ga3 0.3424 0.3488 0.6961
Ga4 0.8089 0.8199 0.6367
Cu1 0.1081 0.6139 0.2254
Cu2 0.4076 0.9063 0.8102
Cu3 0.5232 0.5286 0.0520
Cu4 0.7456 0.2632 0.5247
Au1 0.2059 0.7276 0.4527
Au2 0.5845 0.0888 0.1749
Au3 0.9421 0.4388 0.8771
```



Computed X-ray diffraction stick pattern of GdLu2C for a wavelength of 1.5418 Å, from a cell relaxed with PBE.
Lines closer than 0.1° are merged.

The 10 most intense peaks (10 to 90 degrees two-theta), most intense first:
two_theta, Rel. int., index
29.96, 100, 1 0 1
39.34, 78, 0 1 8
28.30, 48, 0 0 9
37.29, 41, 1 0 7
52.87, 34, 1 1 0
61.05, 34, 1 1 9
30.46, 21, 0 1 2
60.66, 20, 1 0 16
63.81, 17, 0 1 17
32.41, 17, 1 0 4

Crystal structure
```
data_GdLu2C
_chemical_formula_sum 'Gd3 Lu6 C3'
_symmetry_space_group_name_H-M 'R -3 m'
_symmetry_Int_Tables_number 166
_symmetry_space_group_name_Hall '-R 3 2"'
_cell_length_a 3.4635
_cell_length_b 3.4635
_cell_length_c 28.3780
_cell_angle_alpha 90.00
_cell_angle_beta 90.00
_cell_angle_gamma 120.00
loop_
_atom_site_label
_atom_site_fract_x
_atom_site_fract_y
_atom_site_fract_z
Gd1 0.0000 0.0000 0.0000
Lu1 0.0000 0.0000 0.1205
C1 0.0000 0.0000 0.5000
```



Computed X-ray diffraction stick pattern of HfRe3As for a wavelength of 1.5418 Å, from a cell relaxed with PBE.
Lines closer than 0.1° are merged.

The 10 most intense peaks (10 to 90 degrees two-theta), most intense first:
two_theta, Rel. int., index
34.27, 100, 1 1 1
39.77, 77, 2 0 0
57.51, 53, 2 2 0
68.68, 41, 3 1 1
72.20, 18, 2 2 2
85.74, 9, 4 0 0
19.58, 5, 1 0 0
27.84, 3, 1 1 0
44.71, 2, 2 1 0
49.24, 1, 2 1 1

Crystal structure
```
data_HfRe3As
_chemical_formula_sum 'Hf1 Re3 As1'
_symmetry_space_group_name_H-M 'P m -3 m'
_symmetry_Int_Tables_number 221
_symmetry_space_group_name_Hall '-P 4 2 3'
_cell_length_a 4.5327
_cell_length_b 4.5327
_cell_length_c 4.5327
_cell_angle_alpha 90.00
_cell_angle_beta 90.00
_cell_angle_gamma 90.00
loop_
_atom_site_label
_atom_site_fract_x
_atom_site_fract_y
_atom_site_fract_z
Hf1 0.0000 0.0000 0.0000
Re1 0.0000 0.5000 0.5000
As1 0.5000 0.5000 0.5000
```